Record 1
Rb3CuH4: theoretical X-ray powder pattern (Cu Kα), based on a DFT-relaxed cell (PBE, Alexandria).

Structure:
Lattice parameters (Å, degrees): 8.605 6.620 6.265 90.00 90.00 90.00
Space group Pmn2_1 (No. 31)
Asymmetric unit:
Rb1 0.000 0.069 0.000 x2
Rb2 0.223 0.343 0.518 x4
Cu1 0.000 0.805 0.493 x2
H1 0.000 0.053 0.448 x2
H2 0.000 0.663 0.270 x2
H3 0.166 0.755 0.618 x4

Peak list (8 most intense, 10 to 80 degrees two-theta, in order of falling intensity)
| hkl | 2θ/deg | intensity |
| --- | --- | --- |
| 0 0 2 | 28.53 | 100 |
| 0 2 1 | 30.54 | 37 |
| 2 1 0 | 24.68 | 33 |
| 2 1 2 | 38.04 | 21 |
| 2 1 3 | 50.49 | 13 |
| 1 2 1 | 32.31 | 13 |
| 4 2 1 | 52.81 | 11 |
| 0 2 3 | 51.76 | 11 |

***

Record 2
LiSiBrF: theoretical X-ray powder pattern (Cu Kα), based on a DFT-relaxed cell (PBE, Alexandria).

Structure:
Lattice parameters (Å, degrees): 11.296 3.572 4.372 90.00 111.02 90.00
Space group Cm (No. 8)
Asymmetric unit:
Li1 0.000 0.000 0.000 x2
Si1 0.293 0.000 0.951 x2
Br1 0.492 0.000 0.473 x2
F1 0.182 0.000 0.133 x2

Peak list (8 most intense, 10 to 80 degrees two-theta, in order of falling intensity)
| hkl | 2θ/deg | intensity |
| --- | --- | --- |
| 1 1 0 | 26.34 | 100 |
| 2 0 -1 | 22.26 | 80 |
| 1 1 -1 | 32.37 | 66 |
| 2 0 1 | 32.20 | 53 |
| 3 1 -1 | 36.99 | 44 |
| 2 0 0 | 16.82 | 40 |
| 1 1 1 | 36.39 | 34 |
| 5 1 -2 | 56.46 | 30 |

***

Record 3
Cs4Rb7: theoretical X-ray powder pattern (Cu Kα), based on a DFT-relaxed cell (PBE, Alexandria).

Structure:
Lattice parameters (Å, degrees): 16.0047 16.0047 5.0601 90.00 90.00 120.00
Space group P-6m2 (No. 187)
Asymmetric unit:
Cs1 0.0000 0.0000 0.0000 x1
Cs2 0.0494 0.5247 0.5000 x3
Rb1 0.1661 0.3322 0.0000 x3
Rb2 0.3349 0.1675 0.5000 x3
Rb3 0.6667 0.3333 0.0000 x1

Peak list (8 most intense, 10 to 80 degrees two-theta, in order of falling intensity)
| hkl | 2θ/deg | intensity |
| --- | --- | --- |
| 2 2 0 | 22.22 | 100 |
| 2 0 1 | 21.75 | 71 |
| 2 2 2 | 42.26 | 36 |
| 4 2 1 | 38.71 | 28 |
| 2 1 1 | 24.46 | 26 |
| 3 0 1 | 26.12 | 24 |
| 1 1 1 | 20.77 | 23 |
| 4 0 1 | 31.29 | 22 |